Entry 1:
Computed PXRD pattern of Ar for Cu Kα, 1.54184 Å, from DFT lattice parameters and positions (PBE).
Neutral-atom scattering factors, no anomalous dispersion.

Structure:
abc: 3.9971 3.9971 6.5681
angles: 90.00 90.00 120.00
Space group P6_3/mmc (No. 194)
Symmetry-distinct sites (fractional):
1 Ar 0.3333 0.6667 0.2500 x2

Principal peaks in the range 2θ from 15° to 90°, in order of rising 2θ:
h k l, d_spacing, intensity
1 0 0, 3.462, 24
0 0 2, 3.284, 27
1 0 1, 3.062, 100
1 0 2, 2.382, 15
1 1 0, 1.999, 16
1 0 3, 1.850, 19
1 1 2, 1.707, 18
2 0 1, 1.674, 13
2 1 1, 1.283, 10
2 1 3, 1.123, 7


Entry 2:
Computed PXRD pattern of CeAl2GaAg2 for Cu Kα, 1.54184 Å, from DFT lattice parameters and positions (PBE).
Neutral-atom scattering factors, no anomalous dispersion.

Structure:
abc: 4.800 4.800 5.760
angles: 90.00 90.00 90.00
Space group P4/mmm (No. 123)
Symmetry-distinct sites (fractional):
1 Ce 0.000 0.000 0.000 x1
2 Al 0.500 0.500 0.227 x2
3 Ga 0.000 0.000 0.500 x1
4 Ag 0.000 0.500 0.500 x2

Principal peaks in the range 2θ from 15° to 90°, in order of rising 2θ:
h k l, d_spacing, intensity
0 0 1, 5.760, 34
1 0 0, 4.800, 46
1 1 1, 2.924, 100
0 0 2, 2.880, 40
1 0 2, 2.470, 49
2 0 0, 2.400, 78
2 0 2, 1.844, 43
2 1 2, 1.721, 32
2 2 0, 1.697, 26
3 1 1, 1.468, 23


Entry 3:
Computed PXRD pattern of Na2AcTl3 for Cu Kα, 1.54184 Å, from DFT lattice parameters and positions (PBE).
Neutral-atom scattering factors, no anomalous dispersion.

Structure:
abc: 5.5642 5.5642 13.7937
angles: 90.00 90.00 120.00
Space group P-3m1 (No. 164)
Symmetry-distinct sites (fractional):
1 Na 0.0000 0.0000 0.0000 x1
2 Na 0.0000 0.0000 0.5000 x1
3 Na 0.3333 0.6667 0.1624 x2
4 Ac 0.3333 0.6667 0.6649 x2
5 Tl 0.0000 0.0000 0.2381 x2
6 Tl 0.3333 0.6667 0.4165 x2
7 Tl 0.3333 0.6667 0.9211 x2

Principal peaks in the range 2θ from 15° to 90°, in order of rising 2θ:
h k l, d_spacing, intensity
1 0 1, 4.549, 21
0 1 2, 3.950, 38
1 0 4, 2.804, 100
1 1 0, 2.782, 99
0 2 4, 1.975, 37
0 1 8, 1.623, 19
2 1 4, 1.610, 42
3 0 0, 1.606, 19
1 2 8, 1.252, 16
1 3 4, 1.246, 18